(1)
For Ba2MgPt2, a DFT-relaxed cell (PBE, Alexandria) gives the theoretical powder diffraction line list in this record (Cu Kα (weighted mean of Kα1 and Kα2)).
Neutral-atom scattering factors, no anomalous dispersion.

Main lines, sorted by position (10° ≤ 2θ ≤ 80°):
| 2θ (°) | I/Imax |
| --- | --- |
| 22.5 | 90 |
| 23.1 | 37 |
| 27.6 | 70 |
| 28.1 | 100 |
| 29.1 | 62 |
| 34.3 | 71 |
| 36.3 | 66 |
| 37.1 | 43 |
| 39.8 | 59 |
| 40.9 | 60 |

Cell and atoms:
a b c (Å): 7.9669 7.9669 7.9669
angles (deg): 120.51 79.01 133.08
Positions (direct):
Ba (0.1472, 0.1575, 0.3047)
Ba (0.3528, 0.6575, 0.0102)
Ba (0.6472, 0.3425, 0.9898)
Ba (0.8528, 0.8425, 0.6953)
Mg (0.2500, 0.7500, 0.5000)
Mg (0.7500, 0.2500, 0.5000)
Pt (0.0999, 0.7288, 0.8287)
Pt (0.4001, 0.2288, 0.6288)
Pt (0.5999, 0.7712, 0.3712)
Pt (0.9001, 0.2712, 0.1713)

---

(2)
For Ca6HPb2, a DFT-relaxed cell (PBE, Alexandria) gives the theoretical powder diffraction line list in this record (Cu Kα (weighted mean of Kα1 and Kα2)).
Neutral-atom scattering factors, no anomalous dispersion.

Main lines, sorted by position (10° ≤ 2θ ≤ 80°):
| 2θ (°) | I/Imax |
| --- | --- |
| 17.6 | 100 |
| 25.0 | 76 |
| 30.6 | 74 |
| 30.8 | 76 |
| 35.5 | 51 |
| 35.7 | 25 |
| 40.0 | 37 |
| 44.0 | 22 |
| 51.2 | 33 |
| 60.9 | 29 |

Cell and atoms:
a b c (Å): 7.1743 7.1207 12.3600
angles (deg): 90.00 125.45 90.00
Positions (direct):
Ca (0.2116, 0.0000, 0.2488)
Ca (0.2116, 0.5000, 0.7488)
Ca (0.2612, 0.2444, 0.5189)
Ca (0.2612, 0.2556, 0.0189)
Ca (0.2745, 0.7425, 0.5189)
Ca (0.2745, 0.7575, 0.0189)
Ca (0.7255, 0.2425, 0.9811)
Ca (0.7255, 0.2575, 0.4811)
Ca (0.7388, 0.7444, 0.9811)
Ca (0.7388, 0.7556, 0.4811)
Ca (0.7884, 0.0000, 0.7512)
Ca (0.7884, 0.5000, 0.2512)
H (0.5000, 0.0000, 0.5000)
H (0.5000, 0.5000, 0.0000)
Pb (0.2501, 0.5034, 0.2501)
Pb (0.2501, 0.9966, 0.7501)
Pb (0.7499, 0.0034, 0.2499)
Pb (0.7499, 0.4966, 0.7499)

---

(3)
For Sb2Br, a DFT-relaxed cell (PBE, Alexandria) gives the theoretical powder diffraction line list in this record (Cu Kα (weighted mean of Kα1 and Kα2)).
Neutral-atom scattering factors, no anomalous dispersion.

Main lines, sorted by position (10° ≤ 2θ ≤ 80°):
| 2θ (°) | I/Imax |
| --- | --- |
| 18.6 | 17 |
| 26.5 | 100 |
| 30.6 | 40 |
| 32.3 | 19 |
| 37.7 | 15 |
| 41.0 | 62 |
| 42.9 | 16 |
| 45.1 | 15 |
| 46.5 | 13 |
| 53.6 | 16 |

Cell and atoms:
a b c (Å): 8.5792 8.5792 5.8373
angles (deg): 90.00 90.00 151.52
Positions (direct):
Sb (0.0230, 0.9770, 0.7500)
Sb (0.3559, 0.6441, 0.2500)
Sb (0.6441, 0.3559, 0.7500)
Sb (0.9770, 0.0230, 0.2500)
Br (0.3322, 0.6678, 0.7500)
Br (0.6678, 0.3322, 0.2500)